Entry 1:
The following is a computed powder XRD pattern of HoCd3Au. It was derived from a cell relaxed with GGA-PBE, using a wavelength of 1.5418 Å.

Cell and atoms:
Lattice parameters (Å, degrees): 9.468 3.934 12.548 90.00 90.00 90.00
Element x y z (fractional)
Ho 0.177 0.250 0.005
Ho 0.323 0.750 0.505
Ho 0.677 0.250 0.495
Ho 0.823 0.750 0.995
Cd 0.063 0.250 0.410
Cd 0.069 0.750 0.203
Cd 0.167 0.750 0.800
Cd 0.333 0.250 0.300
Cd 0.431 0.250 0.703
Cd 0.437 0.750 0.910
Cd 0.563 0.250 0.090
Cd 0.569 0.750 0.297
Cd 0.667 0.750 0.700
Cd 0.833 0.250 0.200
Cd 0.931 0.250 0.797
Cd 0.937 0.750 0.590
Au 0.153 0.250 0.628
Au 0.347 0.750 0.128
Au 0.653 0.250 0.872
Au 0.847 0.750 0.372

Largest 10 diffraction maxima, in order of rising 2θ, 5° ≤ 2θ ≤ 70°:
| 2theta | I/Imax |
| --- | --- |
| 29.52 | 19 |
| 32.65 | 100 |
| 32.86 | 62 |
| 36.66 | 19 |
| 37.06 | 38 |
| 37.22 | 16 |
| 38.71 | 26 |
| 39.31 | 42 |
| 46.17 | 44 |
| 60.60 | 18 |



Entry 2:
The following is a computed powder XRD pattern of NdHo2CdAu4. It was derived from a cell relaxed with GGA-PBE, using a wavelength of 1.5418 Å.

Cell and atoms:
Lattice parameters (Å, degrees): 8.861 8.861 8.861 32.97 32.97 32.97
Element x y z (fractional)
Nd 0.000 0.000 0.000
Ho 0.241 0.241 0.241
Ho 0.759 0.759 0.759
Cd 0.500 0.500 0.500
Au 0.121 0.121 0.121
Au 0.377 0.377 0.377
Au 0.623 0.623 0.623
Au 0.879 0.879 0.879

Largest 10 diffraction maxima, in order of rising 2θ, 5° ≤ 2θ ≤ 70°:
| 2theta | I/Imax |
| --- | --- |
| 24.88 | 6 |
| 35.24 | 97 |
| 35.71 | 100 |
| 48.75 | 2 |
| 51.05 | 34 |
| 57.28 | 2 |
| 62.94 | 15 |
| 63.85 | 35 |
| 64.15 | 18 |
| 67.15 | 2 |



Entry 3:
The following is a computed powder XRD pattern of CdAuI. It was derived from a cell relaxed with GGA-PBE, using a wavelength of 1.5418 Å.

Cell and atoms:
Lattice parameters (Å, degrees): 7.383 7.180 7.038 90.00 112.64 90.00
Element x y z (fractional)
Cd 0.066 0.114 0.208
Cd 0.066 0.386 0.708
Cd 0.934 0.614 0.292
Cd 0.934 0.886 0.792
Au 0.223 0.727 0.692
Au 0.223 0.773 0.192
Au 0.777 0.227 0.808
Au 0.777 0.273 0.308
I 0.367 0.102 0.704
I 0.367 0.398 0.204
I 0.633 0.602 0.796
I 0.633 0.898 0.296

Largest 10 diffraction maxima, in order of rising 2θ, 5° ≤ 2θ ≤ 70°:
| 2theta | I/Imax |
| --- | --- |
| 17.95 | 31 |
| 25.45 | 20 |
| 27.45 | 100 |
| 29.00 | 45 |
| 34.88 | 18 |
| 36.37 | 31 |
| 39.92 | 37 |
| 40.72 | 43 |
| 41.71 | 29 |
| 47.20 | 25 |



Entry 4:
The following is a computed powder XRD pattern of CdAuI4. It was derived from a cell relaxed with GGA-PBE, using a wavelength of 1.5418 Å.

Cell and atoms:
Lattice parameters (Å, degrees): 7.456 7.456 9.163 90.00 90.00 90.00
Element x y z (fractional)
Cd 0.000 0.000 0.000
Cd 0.000 0.000 0.500
Au 0.000 0.500 0.250
Au 0.500 0.000 0.750
I 0.238 0.249 0.357
I 0.238 0.751 0.143
I 0.249 0.238 0.857
I 0.249 0.762 0.643
I 0.751 0.238 0.643
I 0.751 0.762 0.857
I 0.762 0.249 0.143
I 0.762 0.751 0.357

Largest 10 diffraction maxima, in order of rising 2θ, 5° ≤ 2θ ≤ 70°:
| 2theta | I/Imax |
| --- | --- |
| 11.87 | 17 |
| 15.32 | 43 |
| 25.76 | 100 |
| 28.49 | 16 |
| 34.01 | 47 |
| 43.14 | 53 |
| 46.53 | 35 |
| 48.86 | 17 |
| 56.03 | 15 |
| 69.77 | 20 |